# 1
Computed powder XRD pattern
Compound: Nd2Ge2Pd3
Radiation: CuKα
Structure: a GGA-PBE-relaxed structure

Structure:
```
data_Nd2Ge2Pd3
_chemical_formula_sum 'Nd2 Ge2 Pd3'
_cell_length_a 5.677
_cell_length_b 5.677
_cell_length_c 7.101
_cell_angle_alpha 111.75
_cell_angle_beta 111.75
_cell_angle_gamma 42.18
_space_group_name_H-M_alt 'P 1'
_space_group_IT_number 1
_space_group_name_Hall 'P 1'
loop_
_atom_site_label
_atom_site_type_symbol
_atom_site_fract_x
_atom_site_fract_y
_atom_site_fract_z
Nd1 Nd 0.132 0.132 0.267
Nd2 Nd 0.868 0.868 0.733
Ge1 Ge 0.154 0.154 0.724
Ge2 Ge 0.846 0.846 0.276
Pd1 Pd 0.375 0.375 0.067
Pd2 Pd 0.500 0.500 0.500
Pd3 Pd 0.625 0.625 0.933
```

Top 6 peaks for 10 to 90 degrees two-theta, by angle:
33.48 deg, I 57
33.66 deg, I 100
36.99 deg, I 40
37.53 deg, I 59
39.25 deg, I 92
44.35 deg, I 54

---

# 2
Computed powder XRD pattern
Compound: Nd2ZnGe4Pd3
Radiation: CuKα
Structure: a GGA-PBE-relaxed structure

Structure:
```
data_Nd2ZnGe4Pd3
_chemical_formula_sum 'Nd2 Zn1 Ge4 Pd3'
_cell_length_a 4.308
_cell_length_b 4.308
_cell_length_c 10.436
_cell_angle_alpha 90.00
_cell_angle_beta 90.00
_cell_angle_gamma 90.00
_space_group_name_H-M_alt 'P 1'
_space_group_IT_number 1
_space_group_name_Hall 'P 1'
loop_
_atom_site_label
_atom_site_type_symbol
_atom_site_fract_x
_atom_site_fract_y
_atom_site_fract_z
Nd1 Nd 0.000 0.500 0.249
Nd2 Nd 0.500 0.000 0.751
Zn1 Zn 0.000 0.000 0.500
Ge1 Ge 0.000 0.000 0.000
Ge2 Ge 0.000 0.500 0.636
Ge3 Ge 0.500 0.000 0.364
Ge4 Ge 0.500 0.500 0.000
Pd1 Pd 0.000 0.500 0.873
Pd2 Pd 0.500 0.000 0.127
Pd3 Pd 0.500 0.500 0.500
```

Top 6 peaks for 10 to 90 degrees two-theta, by angle:
33.10 deg, I 69
34.08 deg, I 100
41.95 deg, I 65
48.46 deg, I 31
54.45 deg, I 33
65.99 deg, I 24

---

# 3
Computed powder XRD pattern
Compound: Pm5Nd5Ge6
Radiation: CuKα
Structure: a GGA-PBE-relaxed structure

Structure:
```
data_Pm5Nd5Ge6
_chemical_formula_sum 'Pm5 Nd5 Ge6'
_cell_length_a 6.704
_cell_length_b 8.817
_cell_length_c 8.817
_cell_angle_alpha 120.06
_cell_angle_beta 90.00
_cell_angle_gamma 90.00
_space_group_name_H-M_alt 'P 1'
_space_group_IT_number 1
_space_group_name_Hall 'P 1'
loop_
_atom_site_label
_atom_site_type_symbol
_atom_site_fract_x
_atom_site_fract_y
_atom_site_fract_z
Pm1 Pm 0.000 0.000 0.000
Pm2 Pm 0.000 0.511 0.756
Pm3 Pm 0.000 0.756 0.511
Pm4 Pm 0.500 0.000 0.755
Pm5 Pm 0.500 0.755 0.000
Nd1 Nd 0.250 0.089 0.422
Nd2 Nd 0.250 0.422 0.089
Nd3 Nd 0.500 0.511 0.511
Nd4 Nd 0.750 0.089 0.422
Nd5 Nd 0.750 0.422 0.089
Ge1 Ge 0.000 0.147 0.756
Ge2 Ge 0.000 0.364 0.364
Ge3 Ge 0.000 0.756 0.147
Ge4 Ge 0.500 0.147 0.147
Ge5 Ge 0.500 0.363 0.756
Ge6 Ge 0.500 0.756 0.363
```

Top 6 peaks for 10 to 90 degrees two-theta, by angle:
29.10 deg, I 32
31.00 deg, I 38
33.59 deg, I 90
33.82 deg, I 100
35.27 deg, I 43
51.75 deg, I 30

---

# 4
Computed powder XRD pattern
Compound: PmNd2Ge4
Radiation: CuKα
Structure: a GGA-PBE-relaxed structure

Structure:
```
data_PmNd2Ge4
_chemical_formula_sum 'Pm1 Nd2 Ge4'
_cell_length_a 9.781
_cell_length_b 9.781
_cell_length_c 9.781
_cell_angle_alpha 155.76
_cell_angle_beta 153.87
_cell_angle_gamma 35.94
_space_group_name_H-M_alt 'P 1'
_space_group_IT_number 1
_space_group_name_Hall 'P 1'
loop_
_atom_site_label
_atom_site_type_symbol
_atom_site_fract_x
_atom_site_fract_y
_atom_site_fract_z
Pm1 Pm 0.000 0.000 0.000
Nd1 Nd 0.181 0.681 0.500
Nd2 Nd 0.819 0.319 0.500
Ge1 Ge 0.345 0.845 0.500
Ge2 Ge 0.434 0.434 0.000
Ge3 Ge 0.566 0.566 0.000
Ge4 Ge 0.655 0.155 0.500
```

Top 6 peaks for 10 to 90 degrees two-theta, by angle:
28.79 deg, I 22
31.24 deg, I 100
31.42 deg, I 39
35.53 deg, I 25
40.81 deg, I 27
41.83 deg, I 24

---

# 5
Computed powder XRD pattern
Compound: Pm12NdGe6
Radiation: CuKα
Structure: a GGA-PBE-relaxed structure

Structure:
```
data_Pm12NdGe6
_chemical_formula_sum 'Pm12 Nd1 Ge6'
_cell_length_a 8.671
_cell_length_b 8.671
_cell_length_c 8.671
_cell_angle_alpha 103.53
_cell_angle_beta 103.53
_cell_angle_gamma 103.53
_space_group_name_H-M_alt 'P 1'
_space_group_IT_number 1
_space_group_name_Hall 'P 1'
loop_
_atom_site_label
_atom_site_type_symbol
_atom_site_fract_x
_atom_site_fract_y
_atom_site_fract_z
Pm1 Pm 0.000 0.377 0.623
Pm2 Pm 0.000 0.623 0.377
Pm3 Pm 0.058 0.058 0.324
Pm4 Pm 0.058 0.324 0.058
Pm5 Pm 0.324 0.058 0.058
Pm6 Pm 0.377 0.000 0.623
Pm7 Pm 0.377 0.623 0.000
Pm8 Pm 0.623 0.000 0.377
Pm9 Pm 0.623 0.377 0.000
Pm10 Pm 0.676 0.942 0.942
Pm11 Pm 0.942 0.676 0.942
Pm12 Pm 0.942 0.942 0.676
Nd1 Nd 0.500 0.500 0.500
Ge1 Ge 0.199 0.749 0.749
Ge2 Ge 0.251 0.251 0.801
Ge3 Ge 0.251 0.801 0.251
Ge4 Ge 0.749 0.199 0.749
Ge5 Ge 0.749 0.749 0.199
Ge6 Ge 0.801 0.251 0.251
```

Top 6 peaks for 10 to 90 degrees two-theta, by angle:
27.72 deg, I 50
28.47 deg, I 100
33.49 deg, I 49
34.54 deg, I 33
36.14 deg, I 24
41.68 deg, I 40

---

# 6
Computed powder XRD pattern
Compound: PmNdGe3
Radiation: CuKα
Structure: a GGA-PBE-relaxed structure

Structure:
```
data_PmNdGe3
_chemical_formula_sum 'Pm2 Nd2 Ge6'
_cell_length_a 13.772
_cell_length_b 13.772
_cell_length_c 4.088
_cell_angle_alpha 90.00
_cell_angle_beta 90.00
_cell_angle_gamma 161.99
_space_group_name_H-M_alt 'P 1'
_space_group_IT_number 1
_space_group_name_Hall 'P 1'
loop_
_atom_site_label
_atom_site_type_symbol
_atom_site_fract_x
_atom_site_fract_y
_atom_site_fract_z
Pm1 Pm 0.071 0.929 0.750
Pm2 Pm 0.929 0.071 0.250
Nd1 Nd 0.203 0.797 0.250
Nd2 Nd 0.797 0.203 0.750
Ge1 Ge 0.317 0.683 0.250
Ge2 Ge 0.378 0.622 0.750
Ge3 Ge 0.472 0.528 0.750
Ge4 Ge 0.528 0.472 0.250
Ge5 Ge 0.622 0.378 0.250
Ge6 Ge 0.683 0.317 0.750
```

Top 6 peaks for 10 to 90 degrees two-theta, by angle:
30.98 deg, I 46
31.74 deg, I 100
39.80 deg, I 34
41.92 deg, I 25
44.31 deg, I 21
59.17 deg, I 21

---

# 7
Computed powder XRD pattern
Compound: Pm3Nd3Ge4
Radiation: CuKα
Structure: a GGA-PBE-relaxed structure

Structure:
```
data_Pm3Nd3Ge4
_chemical_formula_sum 'Pm3 Nd3 Ge4'
_cell_length_a 4.311
_cell_length_b 7.886
_cell_length_c 7.886
_cell_angle_alpha 89.99
_cell_angle_beta 90.00
_cell_angle_gamma 90.00
_space_group_name_H-M_alt 'P 1'
_space_group_IT_number 1
_space_group_name_Hall 'P 1'
loop_
_atom_site_label
_atom_site_type_symbol
_atom_site_fract_x
_atom_site_fract_y
_atom_site_fract_z
Pm1 Pm 0.000 0.000 0.000
Pm2 Pm 0.000 0.501 0.847
Pm3 Pm 0.000 0.847 0.501
Nd1 Nd 0.000 0.347 0.347
Nd2 Nd 0.500 0.174 0.673
Nd3 Nd 0.500 0.673 0.174
Ge1 Ge 0.500 0.051 0.294
Ge2 Ge 0.500 0.294 0.051
Ge3 Ge 0.500 0.554 0.554
Ge4 Ge 0.500 0.795 0.795
```

Top 6 peaks for 10 to 90 degrees two-theta, by angle:
30.73 deg, I 61
32.81 deg, I 100
36.02 deg, I 47
41.91 deg, I 25
53.72 deg, I 24
56.43 deg, I 27

---

# 8
Computed powder XRD pattern
Compound: PrNd2Ge2Pt7
Radiation: CuKα
Structure: a GGA-PBE-relaxed structure

Structure:
```
data_PrNd2Ge2Pt7
_chemical_formula_sum 'Pr1 Nd2 Ge2 Pt7'
_cell_length_a 4.159
_cell_length_b 4.159
_cell_length_c 14.190
_cell_angle_alpha 96.01
_cell_angle_beta 96.01
_cell_angle_gamma 89.15
_space_group_name_H-M_alt 'P 1'
_space_group_IT_number 1
_space_group_name_Hall 'P 1'
loop_
_atom_site_label
_atom_site_type_symbol
_atom_site_fract_x
_atom_site_fract_y
_atom_site_fract_z
Pr1 Pr 0.000 0.000 0.000
Nd1 Nd 0.113 0.113 0.358
Nd2 Nd 0.887 0.887 0.642
Ge1 Ge 0.407 0.407 0.744
Ge2 Ge 0.593 0.593 0.256
Pt1 Pt 0.059 0.557 0.159
Pt2 Pt 0.378 0.378 0.571
Pt3 Pt 0.443 0.941 0.841
Pt4 Pt 0.500 0.500 0.000
Pt5 Pt 0.557 0.059 0.159
Pt6 Pt 0.622 0.622 0.429
Pt7 Pt 0.941 0.443 0.841
```

Top 6 peaks for 10 to 90 degrees two-theta, by angle:
31.30 deg, I 48
33.61 deg, I 57
34.87 deg, I 83
36.27 deg, I 100
43.57 deg, I 90
43.77 deg, I 38

---

# 9
Computed powder XRD pattern
Compound: PrNdSiGe
Radiation: CuKα
Structure: a GGA-PBE-relaxed structure

Structure:
```
data_PrNdSiGe
_chemical_formula_sum 'Pr1 Nd1 Si1 Ge1'
_cell_length_a 4.023
_cell_length_b 5.978
_cell_length_c 5.978
_cell_angle_alpha 44.22
_cell_angle_beta 90.00
_cell_angle_gamma 90.00
_space_group_name_H-M_alt 'P 1'
_space_group_IT_number 1
_space_group_name_Hall 'P 1'
loop_
_atom_site_label
_atom_site_type_symbol
_atom_site_fract_x
_atom_site_fract_y
_atom_site_fract_z
Pr1 Pr 0.000 0.000 0.000
Nd1 Nd 0.500 0.721 0.721
Si1 Si 0.000 0.283 0.283
Ge1 Ge 0.500 0.435 0.435
```

Top 6 peaks for 10 to 90 degrees two-theta, by angle:
27.40 deg, I 37
30.89 deg, I 100
31.34 deg, I 48
32.33 deg, I 28
38.68 deg, I 44
40.07 deg, I 26

---

# 10
Computed powder XRD pattern
Compound: NdGe2Pt10
Radiation: CuKα
Structure: a GGA-PBE-relaxed structure

Structure:
```
data_NdGe2Pt10
_chemical_formula_sum 'Nd1 Ge2 Pt10'
_cell_length_a 9.057
_cell_length_b 7.175
_cell_length_c 6.760
_cell_angle_alpha 81.02
_cell_angle_beta 51.48
_cell_angle_gamma 47.49
_space_group_name_H-M_alt 'P 1'
_space_group_IT_number 1
_space_group_name_Hall 'P 1'
loop_
_atom_site_label
_atom_site_type_symbol
_atom_site_fract_x
_atom_site_fract_y
_atom_site_fract_z
Nd1 Nd 0.000 0.000 0.000
Ge1 Ge 0.000 0.500 0.000
Ge2 Ge 0.500 0.000 0.500
Pt1 Pt 0.000 0.000 0.500
Pt2 Pt 0.005 0.327 0.673
Pt3 Pt 0.258 0.488 0.512
Pt4 Pt 0.327 0.005 0.995
Pt5 Pt 0.488 0.258 0.742
Pt6 Pt 0.500 0.500 0.000
Pt7 Pt 0.512 0.742 0.258
Pt8 Pt 0.673 0.995 0.005
Pt9 Pt 0.742 0.512 0.488
Pt10 Pt 0.995 0.673 0.327
```

Top 6 peaks for 10 to 90 degrees two-theta, by angle:
32.54 deg, I 41
38.34 deg, I 100
39.91 deg, I 100
40.61 deg, I 40
42.72 deg, I 72
44.09 deg, I 72

---

# 11
Computed powder XRD pattern
Compound: Nd3Ge3Pt8
Radiation: CuKα
Structure: a GGA-PBE-relaxed structure

Structure:
```
data_Nd3Ge3Pt8
_chemical_formula_sum 'Nd3 Ge3 Pt8'
_cell_length_a 8.420
_cell_length_b 8.420
_cell_length_c 8.912
_cell_angle_alpha 121.60
_cell_angle_beta 121.60
_cell_angle_gamma 30.55
_space_group_name_H-M_alt 'P 1'
_space_group_IT_number 1
_space_group_name_Hall 'P 1'
loop_
_atom_site_label
_atom_site_type_symbol
_atom_site_fract_x
_atom_site_fract_y
_atom_site_fract_z
Nd1 Nd 0.000 0.000 0.000
Nd2 Nd 0.293 0.293 0.325
Nd3 Nd 0.707 0.707 0.675
Ge1 Ge 0.000 0.000 0.500
Ge2 Ge 0.328 0.328 0.994
Ge3 Ge 0.672 0.672 0.006
Pt1 Pt 0.117 0.117 0.397
Pt2 Pt 0.136 0.136 0.844
Pt3 Pt 0.350 0.350 0.743
Pt4 Pt 0.495 0.495 0.312
Pt5 Pt 0.505 0.505 0.688
Pt6 Pt 0.650 0.650 0.257
Pt7 Pt 0.864 0.864 0.156
Pt8 Pt 0.883 0.883 0.603
```

Top 6 peaks for 10 to 90 degrees two-theta, by angle:
30.85 deg, I 28
34.62 deg, I 100
34.74 deg, I 91
38.75 deg, I 36
38.87 deg, I 42
40.68 deg, I 70

---

# 12
Computed powder XRD pattern
Compound: NdGe3Pt3
Radiation: CuKα
Structure: a GGA-PBE-relaxed structure

Structure:
```
data_NdGe3Pt3
_chemical_formula_sum 'Nd2 Ge6 Pt6'
_cell_length_a 7.899
_cell_length_b 7.899
_cell_length_c 7.899
_cell_angle_alpha 53.91
_cell_angle_beta 53.91
_cell_angle_gamma 53.91
_space_group_name_H-M_alt 'P 1'
_space_group_IT_number 1
_space_group_name_Hall 'P 1'
loop_
_atom_site_label
_atom_site_type_symbol
_atom_site_fract_x
_atom_site_fract_y
_atom_site_fract_z
Nd1 Nd 0.166 0.166 0.166
Nd2 Nd 0.834 0.834 0.834
Ge1 Ge 0.113 0.707 0.417
Ge2 Ge 0.293 0.583 0.887
Ge3 Ge 0.417 0.113 0.707
Ge4 Ge 0.583 0.887 0.293
Ge5 Ge 0.707 0.417 0.113
Ge6 Ge 0.887 0.293 0.583
Pt1 Pt 0.026 0.375 0.738
Pt2 Pt 0.262 0.974 0.625
Pt3 Pt 0.375 0.738 0.026
Pt4 Pt 0.625 0.262 0.974
Pt5 Pt 0.738 0.026 0.375
Pt6 Pt 0.974 0.625 0.262
```

Top 6 peaks for 10 to 90 degrees two-theta, by angle:
13.15 deg, I 37
28.23 deg, I 99
36.65 deg, I 100
43.79 deg, I 80
47.84 deg, I 30
60.94 deg, I 35

---

# 13
Computed powder XRD pattern
Compound: Nd5Ge2Pt2
Radiation: CuKα
Structure: a GGA-PBE-relaxed structure

Structure:
```
data_Nd5Ge2Pt2
_chemical_formula_sum 'Nd10 Ge4 Pt4'
_cell_length_a 8.659
_cell_length_b 8.659
_cell_length_c 7.851
_cell_angle_alpha 90.00
_cell_angle_beta 90.00
_cell_angle_gamma 53.66
_space_group_name_H-M_alt 'P 1'
_space_group_IT_number 1
_space_group_name_Hall 'P 1'
loop_
_atom_site_label
_atom_site_type_symbol
_atom_site_fract_x
_atom_site_fract_y
_atom_site_fract_z
Nd1 Nd 0.000 0.000 0.000
Nd2 Nd 0.032 0.684 0.665
Nd3 Nd 0.184 0.532 0.165
Nd4 Nd 0.316 0.968 0.665
Nd5 Nd 0.468 0.816 0.165
Nd6 Nd 0.500 0.500 0.500
Nd7 Nd 0.532 0.184 0.835
Nd8 Nd 0.684 0.032 0.335
Nd9 Nd 0.816 0.468 0.835
Nd10 Nd 0.968 0.316 0.335
Ge1 Ge 0.122 0.878 0.377
Ge2 Ge 0.378 0.622 0.877
Ge3 Ge 0.622 0.378 0.123
Ge4 Ge 0.878 0.122 0.623
Pt1 Pt 0.200 0.200 0.000
Pt2 Pt 0.300 0.300 0.500
Pt3 Pt 0.700 0.700 0.500
Pt4 Pt 0.800 0.800 0.000
```

Top 6 peaks for 10 to 90 degrees two-theta, by angle:
30.84 deg, I 99
32.32 deg, I 80
32.56 deg, I 100
33.19 deg, I 73
34.59 deg, I 64
36.81 deg, I 64